Record 1
Starting from the PBE geometry in the Materials Project, the X-ray powder pattern of BPBr6 was computed for Cu Kα, 1.54184 Å.

Crystal structure
a = 13.3428 Å, b = 11.9348 Å, c = 7.6091 Å
α = 90.00°, β = 90.00°, γ = 90.00°
Positions (direct):
B1 0.1443 0.2500 0.0634
B2 0.3557 0.7500 0.5634
B3 0.6443 0.2500 0.4366
B4 0.8557 0.7500 0.9366
P1 0.1032 0.2500 0.8043
P2 0.3968 0.7500 0.3043
P3 0.6032 0.2500 0.6957
P4 0.8968 0.7500 0.1957
Br1 0.0124 0.1033 0.7342
Br2 0.0124 0.3967 0.7342
Br3 0.0128 0.2500 0.1879
Br4 0.2233 0.1099 0.0923
Br5 0.2233 0.3901 0.0923
Br6 0.2299 0.2500 0.6213
Br7 0.2701 0.7500 0.1213
Br8 0.2767 0.6099 0.5923
Br9 0.2767 0.8901 0.5923
Br10 0.4872 0.7500 0.6879
Br11 0.4876 0.6033 0.2342
Br12 0.4876 0.8967 0.2342
Br13 0.5124 0.1033 0.7658
Br14 0.5124 0.3967 0.7658
Br15 0.5128 0.2500 0.3121
Br16 0.7233 0.1099 0.4077
Br17 0.7233 0.3901 0.4077
Br18 0.7299 0.2500 0.8787
Br19 0.7701 0.7500 0.3787
Br20 0.7767 0.6099 0.9077
Br21 0.7767 0.8901 0.9077
Br22 0.9872 0.7500 0.8121
Br23 0.9876 0.6033 0.2658
Br24 0.9876 0.8967 0.2658

The 10 most intense peaks (15 to 90 degrees two-theta), by angle:
15.21 deg, 5.823 Å, I = 30; 24.33 deg, 3.659 Å, I = 33; 26.14 deg, 3.409 Å, I = 27; 26.72 deg, 3.336 Å, I = 39; 26.98 deg, 3.305 Å, I = 40; 28.64 deg, 3.117 Å, I = 100; 32.41 deg, 2.763 Å, I = 20; 42.28 deg, 2.138 Å, I = 23; 48.39 deg, 1.881 Å, I = 20; 50.71 deg, 1.800 Å, I = 20

=====

Record 2
Starting from the PBE geometry in the Materials Project, the X-ray powder pattern of CdGeN2 was computed for Cu Kα, 1.54184 Å.

Crystal structure
a = 5.6864 Å, b = 6.9543 Å, c = 5.4923 Å
α = 90.00°, β = 90.00°, γ = 90.00°
Positions (direct):
Cd1 0.0803 0.1239 0.0000
Cd2 0.4197 0.6239 0.5000
Cd3 0.5803 0.3761 0.0000
Cd4 0.9197 0.8761 0.5000
Ge1 0.0661 0.6254 0.0026
Ge2 0.4339 0.1254 0.5026
Ge3 0.5661 0.8746 0.0026
Ge4 0.9339 0.3746 0.5026
N1 0.0479 0.5929 0.3427
N2 0.1146 0.1572 0.4144
N3 0.3854 0.6572 0.9144
N4 0.4521 0.0929 0.8427
N5 0.5479 0.9071 0.3427
N6 0.6146 0.3428 0.4144
N7 0.8854 0.8428 0.9144
N8 0.9521 0.4071 0.8427

The 10 most intense peaks (15 to 90 degrees two-theta), by angle:
30.13 deg, 2.966 Å, I = 28; 31.47 deg, 2.843 Å, I = 21; 32.61 deg, 2.746 Å, I = 44; 34.36 deg, 2.610 Å, I = 100; 35.56 deg, 2.525 Å, I = 36; 44.98 deg, 2.015 Å, I = 15; 55.19 deg, 1.664 Å, I = 21; 59.32 deg, 1.558 Å, I = 26; 65.15 deg, 1.432 Å, I = 13; 65.59 deg, 1.423 Å, I = 21

=====

Record 3
Starting from the PBE geometry in the Materials Project, the X-ray powder pattern of TaOF3 was computed for Cu Kα, 1.54184 Å.

Crystal structure
a = 5.2046 Å, b = 5.2046 Å, c = 5.2046 Å
α = 136.31°, β = 133.55°, γ = 65.67°
Positions (direct):
Ta1 0.0000 0.0000 0.0000
O1 0.0000 0.5000 0.5000
F1 0.2177 0.2177 0.0000
F2 0.5000 0.0000 0.5000
F3 0.7823 0.7823 0.0000

The 10 most intense peaks (15 to 90 degrees two-theta), by angle:
20.31 deg, 4.373 Å, I = 70; 23.95 deg, 3.716 Å, I = 100; 25.15 deg, 3.541 Å, I = 94; 31.76 deg, 2.817 Å, I = 48; 37.85 deg, 2.377 Å, I = 21; 37.99 deg, 2.368 Å, I = 21; 38.66 deg, 2.329 Å, I = 22; 41.29 deg, 2.187 Å, I = 20; 51.46 deg, 1.776 Å, I = 27; 53.35 deg, 1.717 Å, I = 23

=====

Record 4
Starting from the PBE geometry in the Materials Project, the X-ray powder pattern of LaZr9O20 was computed for Cu Kα, 1.54184 Å.

Crystal structure
a = 6.3810 Å, b = 7.3724 Å, c = 8.2431 Å
α = 102.99°, β = 97.44°, γ = 106.69°
Positions (direct):
La1 0.0000 0.0000 0.0000
Zr1 0.0000 0.5000 0.0000
Zr2 0.2015 0.4024 0.4030
Zr3 0.2019 0.9003 0.4028
Zr4 0.3997 0.7987 0.7997
Zr5 0.4006 0.3016 0.7993
Zr6 0.5994 0.6984 0.2007
Zr7 0.6003 0.2013 0.2003
Zr8 0.7981 0.0997 0.5972
Zr9 0.7985 0.5976 0.5970
O1 0.0481 0.2402 0.8398
O2 0.0528 0.7041 0.8372
O3 0.1436 0.1720 0.5463
O4 0.1501 0.6742 0.5444
O5 0.2625 0.6263 0.2505
O6 0.2712 0.1359 0.2666
O7 0.3553 0.5742 0.9518
O8 0.3723 0.0812 0.9435
O9 0.4427 0.0248 0.6456
O10 0.4431 0.5202 0.6477
O11 0.5569 0.4798 0.3523
O12 0.5573 0.9752 0.3544
O13 0.6277 0.9188 0.0565
O14 0.6447 0.4258 0.0482
O15 0.7288 0.8641 0.7334
O16 0.7375 0.3737 0.7495
O17 0.8499 0.3258 0.4556
O18 0.8564 0.8280 0.4537
O19 0.9472 0.2959 0.1628
O20 0.9519 0.7598 0.1602

The 10 most intense peaks (15 to 90 degrees two-theta), by angle:
29.69 deg, 3.009 Å, I = 100; 34.41 deg, 2.606 Å, I = 22; 49.46 deg, 1.843 Å, I = 59; 58.72 deg, 1.572 Å, I = 21; 58.78 deg, 1.571 Å, I = 21; 61.64 deg, 1.505 Å, I = 6; 72.52 deg, 1.303 Å, I = 6; 80.22 deg, 1.197 Å, I = 5; 80.32 deg, 1.195 Å, I = 11; 82.84 deg, 1.165 Å, I = 6

=====

Record 5
Starting from the PBE geometry in the Materials Project, the X-ray powder pattern of Sm2VFe16N2 was computed for Cu Kα, 1.54184 Å.

Crystal structure
a = 6.4971 Å, b = 6.4971 Å, c = 6.5657 Å
α = 96.42°, β = 96.42°, γ = 82.78°
Positions (direct):
Sm1 0.0000 0.0000 0.0000
Sm2 0.6882 0.6882 0.3114
V1 0.4327 0.4327 0.5660
Fe1 0.0491 0.6330 0.6592
Fe2 0.0558 0.3420 0.3774
Fe3 0.1977 0.6855 0.3194
Fe4 0.2499 0.2499 0.7488
Fe5 0.3376 0.6235 0.9431
Fe6 0.3404 0.3404 0.1575
Fe7 0.3420 0.0558 0.3774
Fe8 0.3422 0.8410 0.6589
Fe9 0.4868 0.9964 0.9974
Fe10 0.6235 0.3376 0.9431
Fe11 0.6330 0.0491 0.6592
Fe12 0.6842 0.6842 0.8034
Fe13 0.6855 0.1978 0.3194
Fe14 0.8410 0.3422 0.6589
Fe15 0.9964 0.4868 0.9974
Fe16 0.9989 0.9989 0.5147
N1 0.3414 0.8418 0.1579
N2 0.8418 0.3414 0.1579

The 10 most intense peaks (15 to 90 degrees two-theta), by angle:
29.63 deg, 3.015 Å, I = 42; 36.06 deg, 2.491 Å, I = 38; 37.41 deg, 2.404 Å, I = 26; 41.50 deg, 2.176 Å, I = 69; 41.74 deg, 2.164 Å, I = 24; 41.89 deg, 2.157 Å, I = 22; 42.07 deg, 2.148 Å, I = 32; 42.24 deg, 2.140 Å, I = 100; 43.27 deg, 2.091 Å, I = 61; 61.40 deg, 1.510 Å, I = 20